Computed X-ray powder pattern
Compound: CsK3Se2
Radiation: CuKα
Structure: a DFT-relaxed cell (PBE, Alexandria)
Lines closer than 0.1° are merged.

Atomic structure:
```
CsK3Se2
1.0
5.218 0.000 0.000
0.000 9.977 0.000
0.000 0.000 8.666
Cs K Se
2 6 4
Direct
0.000 0.073 0.000 Cs
0.000 0.927 0.500 Cs
0.000 0.328 0.620 K
0.000 0.672 0.120 K
0.500 0.181 0.329 K
0.500 0.424 0.949 K
0.500 0.576 0.449 K
0.500 0.819 0.829 K
0.000 0.367 0.240 Se
0.000 0.633 0.740 Se
0.500 0.146 0.713 Se
0.500 0.854 0.213 Se
```

Most intense lines, 2θ from 10° to 90°, sorted by position:
2theta  Rel. int.
20.54  20.0
26.77  78.0
28.23  100.0
28.75  20.9
31.91  34.0
34.37  37.7
35.95  32.7
50.58  23.8



Computed X-ray powder pattern
Compound: Cs3K4Se
Radiation: CuKα
Structure: a DFT-relaxed cell (PBE, Alexandria)
Lines closer than 0.1° are merged.

Atomic structure:
```
Cs3K4Se
1.0
8.019 0.000 0.000
0.000 15.643 0.000
0.000 0.000 9.172
Cs K Se
6 8 2
Direct
0.250 0.027 0.182 Cs
0.250 0.473 0.182 Cs
0.250 0.750 0.562 Cs
0.750 0.250 0.438 Cs
0.750 0.527 0.818 Cs
0.750 0.973 0.818 Cs
0.007 0.250 0.011 K
0.250 0.120 0.600 K
0.250 0.380 0.600 K
0.493 0.250 0.011 K
0.507 0.750 0.989 K
0.750 0.620 0.400 K
0.750 0.880 0.400 K
0.993 0.750 0.989 K
0.250 0.250 0.308 Se
0.750 0.750 0.692 Se
```

Most intense lines, 2θ from 10° to 90°, sorted by position:
2theta  Rel. int.
11.18  64.2
14.67  86.4
18.57  84.8
22.17  81.9
22.33  71.9
22.48  67.7
26.81  100.0
42.58  75.4



Computed X-ray powder pattern
Compound: CsKTaSe4
Radiation: CuKα
Structure: a DFT-relaxed cell (PBE, Alexandria)
Lines closer than 0.1° are merged.

Atomic structure:
```
CsKTaSe4
1.0
7.865 0.000 0.000
0.000 6.464 0.000
-2.681 0.000 10.721
Cs K Ta Se
2 2 2 8
Direct
0.232 0.250 0.461 Cs
0.768 0.750 0.539 Cs
0.267 0.250 0.947 K
0.733 0.750 0.053 K
0.276 0.750 0.192 Ta
0.724 0.250 0.808 Ta
0.066 0.750 0.318 Se
0.142 0.750 0.975 Se
0.496 0.023 0.249 Se
0.496 0.477 0.249 Se
0.504 0.523 0.751 Se
0.504 0.977 0.751 Se
0.858 0.250 0.025 Se
0.934 0.250 0.682 Se
```

Most intense lines, 2θ from 10° to 90°, sorted by position:
2theta  Rel. int.
12.50  92.2
15.80  68.2
16.01  100.0
20.97  94.0
25.15  59.8
26.40  93.1
28.75  59.5
36.43  76.8



Computed X-ray powder pattern
Compound: Cs2KTeSe4
Radiation: CuKα
Structure: a DFT-relaxed cell (PBE, Alexandria)
Lines closer than 0.1° are merged.

Atomic structure:
```
Cs2KTeSe4
1.0
0.000 8.562 12.406
3.262 0.000 12.406
3.262 8.562 0.000
Cs K Te Se
4 2 2 8
Direct
0.056 0.056 0.694 Cs
0.306 0.306 0.944 Cs
0.694 0.694 0.056 Cs
0.944 0.944 0.306 Cs
0.125 0.125 0.125 K
0.875 0.875 0.875 K
0.375 0.375 0.375 Te
0.625 0.625 0.625 Te
0.031 0.564 0.515 Se
0.390 0.515 0.564 Se
0.436 0.969 0.610 Se
0.485 0.610 0.969 Se
0.515 0.390 0.031 Se
0.564 0.031 0.390 Se
0.610 0.485 0.436 Se
0.969 0.436 0.485 Se
```

Most intense lines, 2θ from 10° to 90°, sorted by position:
2theta  Rel. int.
14.97  22.9
23.33  100.0
23.90  25.1
29.30  24.1
35.04  29.3
38.32  31.0
38.81  21.2
42.06  21.6



Computed X-ray powder pattern
Compound: CsKTiSe3
Radiation: CuKα
Structure: a DFT-relaxed cell (PBE, Alexandria)
Lines closer than 0.1° are merged.

Atomic structure:
```
CsKTiSe3
1.0
3.923 -7.610 0.000
3.923 7.610 0.000
-1.409 0.000 6.936
Cs K Ti Se
2 2 2 6
Direct
0.247 0.753 0.750 Cs
0.753 0.247 0.250 Cs
0.413 0.587 0.250 K
0.587 0.413 0.750 K
0.046 0.954 0.250 Ti
0.954 0.046 0.750 Ti
0.170 0.244 0.498 Se
0.202 0.798 0.250 Se
0.244 0.170 0.998 Se
0.756 0.830 0.002 Se
0.798 0.202 0.750 Se
0.830 0.756 0.502 Se
```

Most intense lines, 2θ from 10° to 90°, sorted by position:
2theta  Rel. int.
12.90  48.1
23.38  67.2
25.83  100.0
25.97  99.7
28.28  93.2
31.10  93.5
38.26  49.1
39.25  52.9



Computed X-ray powder pattern
Compound: Cs2KTiSe4
Radiation: CuKα
Structure: a DFT-relaxed cell (PBE, Alexandria)
Lines closer than 0.1° are merged.

Atomic structure:
```
Cs2KTiSe4
1.0
0.000 7.448 11.708
3.754 0.000 11.708
3.754 7.448 0.000
Cs K Ti Se
4 2 2 8
Direct
0.060 0.060 0.690 Cs
0.310 0.310 0.940 Cs
0.690 0.690 0.060 Cs
0.940 0.940 0.310 Cs
0.125 0.125 0.125 K
0.875 0.875 0.875 K
0.375 0.375 0.375 Ti
0.625 0.625 0.625 Ti
0.038 0.594 0.520 Se
0.348 0.520 0.594 Se
0.406 0.962 0.652 Se
0.480 0.652 0.962 Se
0.520 0.348 0.038 Se
0.594 0.038 0.348 Se
0.652 0.480 0.406 Se
0.962 0.406 0.480 Se
```

Most intense lines, 2θ from 10° to 90°, sorted by position:
2theta  Rel. int.
21.79  28.4
24.33  100.0
24.91  22.7
26.59  24.8
28.78  63.5
30.54  26.7
33.11  32.6
43.71  23.9



Computed X-ray powder pattern
Compound: CsKUSe3
Radiation: CuKα
Structure: a DFT-relaxed cell (PBE, Alexandria)
Lines closer than 0.1° are merged.

Atomic structure:
```
CsKUSe3
1.0
4.003 -8.004 0.000
4.003 8.004 0.000
-1.475 0.000 7.477
Cs K U Se
2 2 2 6
Direct
0.250 0.750 0.750 Cs
0.750 0.250 0.250 Cs
0.081 0.919 0.250 K
0.919 0.081 0.750 K
0.448 0.552 0.250 U
0.552 0.448 0.750 U
0.237 0.321 0.495 Se
0.281 0.719 0.250 Se
0.321 0.237 0.995 Se
0.679 0.763 0.005 Se
0.719 0.281 0.750 Se
0.763 0.679 0.505 Se
```

Most intense lines, 2θ from 10° to 90°, sorted by position:
2theta  Rel. int.
11.05  25.1
12.55  100.0
22.23  46.4
22.64  29.9
23.80  24.9
24.51  76.2
29.63  56.6
36.24  33.2



Computed X-ray powder pattern
Compound: CsKZrSe3
Radiation: CuKα
Structure: a DFT-relaxed cell (PBE, Alexandria)
Lines closer than 0.1° are merged.

Atomic structure:
```
CsKZrSe3
1.0
3.967 -7.791 0.000
3.967 7.791 0.000
-1.497 0.000 7.149
Cs K Zr Se
2 2 2 6
Direct
0.248 0.752 0.750 Cs
0.752 0.248 0.250 Cs
0.415 0.585 0.250 K
0.585 0.415 0.750 K
0.048 0.952 0.250 Zr
0.952 0.048 0.750 Zr
0.177 0.257 0.501 Se
0.210 0.790 0.250 Se
0.257 0.177 0.001 Se
0.743 0.823 0.999 Se
0.790 0.210 0.750 Se
0.823 0.743 0.499 Se
```

Most intense lines, 2θ from 10° to 90°, sorted by position:
2theta  Rel. int.
12.74  64.5
22.85  92.1
25.28  100.0
25.63  59.0
27.45  54.8
30.32  86.3
37.53  48.5
38.58  32.5



Computed X-ray powder pattern
Compound: CsKSi
Radiation: CuKα
Structure: a DFT-relaxed cell (PBE, Alexandria)
Lines closer than 0.1° are merged.

Atomic structure:
```
CsKSi
1.0
4.134 0.000 0.000
-0.001 6.996 0.000
-2.064 -3.487 9.901
Cs K Si
2 2 2
Direct
0.155 0.404 0.309 Cs
0.845 0.596 0.691 Cs
0.417 0.167 0.833 K
0.583 0.833 0.167 K
0.219 0.969 0.438 Si
0.781 0.031 0.562 Si
```

Most intense lines, 2θ from 10° to 90°, sorted by position:
2theta  Rel. int.
13.42  31.8
17.92  25.9
25.44  100.0
25.85  65.4
26.62  93.6
31.30  21.8
36.29  38.7
45.59  20.6



Computed X-ray powder pattern
Compound: CsKSi12
Radiation: CuKα
Structure: a DFT-relaxed cell (PBE, Alexandria)
Lines closer than 0.1° are merged.

Atomic structure:
```
CsKSi12
1.0
5.879 0.000 0.000
0.000 5.879 0.000
0.000 0.000 12.224
Cs K Si
1 1 12
Direct
0.000 0.000 0.000 Cs
0.000 0.000 0.500 K
0.208 0.500 0.250 Si
0.208 0.500 0.750 Si
0.500 0.208 0.250 Si
0.500 0.208 0.750 Si
0.500 0.500 0.097 Si
0.500 0.500 0.403 Si
0.500 0.500 0.597 Si
0.500 0.500 0.903 Si
0.500 0.792 0.250 Si
0.500 0.792 0.750 Si
0.792 0.500 0.250 Si
0.792 0.500 0.750 Si
```

Most intense lines, 2θ from 10° to 90°, sorted by position:
2theta  Rel. int.
16.73  26.1
20.97  100.0
21.37  52.2
25.92  90.9
30.41  36.9
45.51  75.7
46.12  40.4
47.22  28.4



Computed X-ray powder pattern
Compound: CsKTa2Si
Radiation: CuKα
Structure: a DFT-relaxed cell (PBE, Alexandria)
Lines closer than 0.1° are merged.

Atomic structure:
```
CsKTa2Si
1.0
4.942 0.000 0.000
0.000 4.942 0.000
0.000 0.000 6.453
Cs K Ta Si
1 1 2 1
Direct
0.000 0.000 0.000 Cs
0.500 0.500 0.000 K
0.000 0.500 0.500 Ta
0.500 0.000 0.500 Ta
0.500 0.500 0.500 Si
```

Most intense lines, 2θ from 10° to 90°, sorted by position:
2theta  Rel. int.
13.72  26.3
27.65  35.5
29.06  100.0
36.36  34.2
46.28  34.5
49.78  22.5
60.24  15.7
61.01  24.4



Computed X-ray powder pattern
Compound: CsK3Te2
Radiation: CuKα
Structure: a DFT-relaxed cell (PBE, Alexandria)
Lines closer than 0.1° are merged.

Atomic structure:
```
CsK3Te2
1.0
5.513 0.000 0.000
0.000 10.622 0.000
0.000 0.000 9.144
Cs K Te
2 6 4
Direct
0.000 0.070 0.000 Cs
0.000 0.930 0.500 Cs
0.000 0.325 0.619 K
0.000 0.675 0.119 K
0.500 0.181 0.326 K
0.500 0.425 0.946 K
0.500 0.575 0.446 K
0.500 0.819 0.826 K
0.000 0.369 0.236 Te
0.000 0.631 0.736 Te
0.500 0.143 0.713 Te
0.500 0.857 0.213 Te
```

Most intense lines, 2θ from 10° to 90°, sorted by position:
2theta  Rel. int.
19.34  42.2
20.59  38.6
25.24  41.5
26.68  100.0
29.99  39.9
31.59  22.9
32.48  37.3
33.91  28.9